No. 1
# RbCr2S4
Calculated X-ray powder pattern, a wavelength of 1.5418 Å. Input: a GGA-PBE-relaxed structure.

Crystal structure
Lattice parameters (Å, degrees): 11.740 3.588 13.089 90.00 90.00 90.00
Space group Pnma (No. 62)
Asymmetric unit:
Rb 0.246 0.250 0.164 x4
Cr 0.069 0.250 0.395 x4
Cr 0.073 0.250 0.896 x4
S 0.018 0.750 0.785 x4
S 0.060 0.250 0.575 x4
S 0.104 0.750 0.013 x4
S 0.204 0.750 0.373 x4

Main lines, sorted by position (2θ from 5° to 70°):
2θ (°), Rel. int.
26.54, 94
27.25, 45
33.21, 100
34.60, 75
40.32, 67
50.91, 54

=====

No. 2
# MgTi2
Calculated X-ray powder pattern, a wavelength of 1.5418 Å. Input: a GGA-PBE-relaxed structure.

Crystal structure
Lattice parameters (Å, degrees): 4.706 8.766 5.395 90.00 90.00 90.00
Space group Pmmn (No. 59, origin choice 2)
Asymmetric unit:
Mg 0.250 0.087 0.081 x4
Ti 0.250 0.250 0.564 x2
Ti 0.250 0.585 0.583 x4
Ti 0.250 0.750 0.142 x2

Main lines, sorted by position (2θ from 5° to 70°):
2θ (°), Rel. int.
16.43, 18
34.92, 30
38.25, 41
38.47, 60
39.98, 100
52.75, 18

=====

No. 3
# FeCl3
Calculated X-ray powder pattern, a wavelength of 1.5418 Å. Input: a GGA-PBE-relaxed structure.

Crystal structure
Lattice parameters (Å, degrees): 6.1876 6.1876 18.7047 90.00 90.00 120.00
Space group P312 (No. 149)
Asymmetric unit:
Fe 0.0000 0.0000 0.0000 x1
Fe 0.0000 0.0000 0.3334 x2
Fe 0.3333 0.6667 0.3359 x2
Fe 0.6667 0.3333 0.0000 x1
Cl 0.0304 0.3326 0.5919 x6
Cl 0.0343 0.3341 0.2606 x6
Cl 0.3334 0.0332 0.9261 x6

Main lines, sorted by position (2θ from 5° to 70°):
2θ (°), Rel. int.
14.21, 80
17.21, 27
32.30, 100
41.10, 59
51.14, 27
53.09, 27

=====

No. 4
# ErP
Calculated X-ray powder pattern, a wavelength of 1.5418 Å. Input: a GGA-PBE-relaxed structure.

Crystal structure
Lattice parameters (Å, degrees): 3.437 3.437 3.437 90.00 90.00 90.00
Space group Pm-3m (No. 221)
Asymmetric unit:
Er 0.000 0.000 0.000 x1
P 0.500 0.500 0.500 x1

Main lines, sorted by position (2θ from 5° to 70°):
2θ (°), Rel. int.
25.93, 58
36.99, 100
45.73, 18
53.31, 17
60.21, 24
66.66, 35